Theoretical X-ray powder pattern of AcPaVO6 for Cu Kα X-rays, from the PBE+U geometry in Alexandria.
No peak broadening, texture or thermal motion is included.

Crystal structure
abc: 5.1220 5.1220 10.3958
angles: 90.00 90.00 90.00
Positions (direct):
Ac1 0.0000 0.0000 0.0000
Ac2 0.5000 0.5000 0.5000
Pa1 0.0000 0.0000 0.6628
Pa2 0.5000 0.5000 0.1628
V1 0.0000 0.0000 0.3351
V2 0.5000 0.5000 0.8351
O1 0.1690 0.1690 0.4838
O2 0.2121 0.2121 0.1844
O3 0.2409 0.2409 0.8076
O4 0.2591 0.7409 0.3076
O5 0.2879 0.7121 0.6844
O6 0.3310 0.6690 0.9838
O7 0.6690 0.3310 0.9838
O8 0.7121 0.2879 0.6844
O9 0.7409 0.2591 0.3076
O10 0.7591 0.7591 0.8076
O11 0.7879 0.7879 0.1844
O12 0.8310 0.8310 0.4838

Most intense lines, 15° ≤ 2θ ≤ 90°, sorted by position:
- hkl 1 0 1, 2θ = 19.32°, 4.595 Å, I 31.3
- hkl 1 1 0, 2θ = 24.58°, 3.622 Å, I 100.0
- hkl 1 1 2, 2θ = 30.07°, 2.972 Å, I 15.9
- hkl 1 0 3, 2θ = 31.16°, 2.870 Å, I 94.8
- hkl 2 0 0, 2θ = 35.04°, 2.561 Å, I 27.2
- hkl 2 1 3, 2θ = 47.59°, 1.911 Å, I 70.2
- hkl 2 2 0, 2θ = 50.39°, 1.811 Å, I 17.6
- hkl 3 1 0, 2θ = 56.84°, 1.620 Å, I 18.3
- hkl 1 1 6, 2θ = 59.11°, 1.563 Å, I 17.9
- hkl 3 0 3, 2θ = 60.45°, 1.532 Å, I 19.4
- hkl 3 2 3, 2θ = 71.82°, 1.314 Å, I 17.5
- hkl 4 1 3, 2θ = 82.48°, 1.169 Å, I 13.8